Simulated X-ray diffraction stick pattern
Compound: Pm5Pr2Y3
Radiation: CuKα
Structure: a structure optimized by DFT (GGA-PBE)
Neutral-atom scattering factors, no anomalous dispersion.

The 8 most intense peaks (5° ≤ 2θ ≤ 70°), low angle first:
| two_theta | I/Imax |
| --- | --- |
| 29.5 | 86 |
| 29.8 | 86 |
| 30.1 | 99 |
| 30.2 | 100 |
| 31.8 | 32 |
| 32.5 | 86 |
| 48.6 | 36 |
| 56.5 | 30 |

Atomic structure:
Unit cell a=9.542 b=9.542 c=9.772 alpha=108.74 beta=108.74 gamma=109.49
Atoms (fractional coordinates):
Pm  0.032  0.968  0.750
Pm  0.114  0.354  0.724
Pm  0.232  0.768  0.750
Pm  0.272  0.728  0.250
Pm  0.354  0.114  0.224
Pm  0.646  0.886  0.776
Pm  0.728  0.272  0.750
Pm  0.768  0.232  0.250
Pm  0.886  0.646  0.276
Pm  0.968  0.032  0.250
Pr  0.228  0.478  0.445
Pr  0.478  0.228  0.945
Pr  0.522  0.772  0.055
Pr  0.772  0.522  0.555
Y  0.034  0.278  0.046
Y  0.278  0.034  0.546
Y  0.480  0.520  0.250
Y  0.520  0.480  0.750
Y  0.722  0.966  0.454
Y  0.966  0.722  0.954

***

Simulated X-ray diffraction stick pattern
Compound: NaAcZn2Au4
Radiation: CuKα
Structure: a structure optimized by DFT (GGA-PBE)
Neutral-atom scattering factors, no anomalous dispersion.

The 8 most intense peaks (5° ≤ 2θ ≤ 70°), low angle first:
| two_theta | I/Imax |
| --- | --- |
| 18.1 | 25 |
| 23.1 | 22 |
| 25.4 | 22 |
| 33.2 | 78 |
| 38.0 | 53 |
| 39.1 | 100 |
| 52.2 | 22 |
| 67.2 | 20 |

Atomic structure:
Unit cell a=10.152 b=10.152 c=10.152 alpha=26.20 beta=26.20 gamma=26.20
Atoms (fractional coordinates):
Na  0.000  0.000  0.000
Ac  0.500  0.500  0.500
Zn  0.258  0.258  0.258
Zn  0.742  0.742  0.742
Au  0.102  0.102  0.102
Au  0.389  0.389  0.389
Au  0.611  0.611  0.611
Au  0.898  0.898  0.898

***

Simulated X-ray diffraction stick pattern
Compound: Rb4Dy3UTe8
Radiation: CuKα
Structure: a structure optimized by DFT (GGA-PBE)
Neutral-atom scattering factors, no anomalous dispersion.

The 8 most intense peaks (5° ≤ 2θ ≤ 70°), low angle first:
| two_theta | I/Imax |
| --- | --- |
| 10.3 | 32 |
| 26.6 | 100 |
| 33.4 | 15 |
| 36.1 | 34 |
| 39.7 | 37 |
| 45.2 | 11 |
| 48.4 | 19 |
| 64.4 | 16 |

Atomic structure:
Unit cell a=10.039 b=10.039 c=10.039 alpha=53.76 beta=53.76 gamma=53.76
Atoms (fractional coordinates):
Rb  0.000  0.000  0.000
Rb  0.000  0.500  0.500
Rb  0.500  0.000  0.500
Rb  0.500  0.500  0.000
Dy  0.000  0.000  0.500
Dy  0.000  0.500  0.000
Dy  0.500  0.000  0.000
U  0.500  0.500  0.500
Te  0.230  0.735  0.735
Te  0.233  0.233  0.233
Te  0.265  0.265  0.770
Te  0.265  0.770  0.265
Te  0.735  0.230  0.735
Te  0.735  0.735  0.230
Te  0.767  0.767  0.767
Te  0.770  0.265  0.265

***

Simulated X-ray diffraction stick pattern
Compound: Mo2P
Radiation: CuKα
Structure: a structure optimized by DFT (GGA-PBE)
Neutral-atom scattering factors, no anomalous dispersion.

The 8 most intense peaks (5° ≤ 2θ ≤ 70°), low angle first:
| two_theta | I/Imax |
| --- | --- |
| 20.3 | 20 |
| 23.8 | 19 |
| 28.4 | 23 |
| 33.3 | 24 |
| 38.9 | 59 |
| 39.8 | 64 |
| 44.7 | 100 |
| 63.9 | 21 |

Atomic structure:
Unit cell a=4.612 b=4.612 c=4.534 alpha=90.00 beta=90.00 gamma=71.38
Atoms (fractional coordinates):
Mo  0.004  0.337  0.250
Mo  0.337  0.004  0.750
Mo  0.663  0.996  0.250
Mo  0.996  0.663  0.750
P  0.265  0.735  0.250
P  0.735  0.265  0.750

***

Simulated X-ray diffraction stick pattern
Compound: Li3Ag5Ge2
Radiation: CuKα
Structure: a structure optimized by DFT (GGA-PBE)
Neutral-atom scattering factors, no anomalous dispersion.

The 8 most intense peaks (5° ≤ 2θ ≤ 70°), low angle first:
| two_theta | I/Imax |
| --- | --- |
| 13.2 | 42 |
| 17.1 | 49 |
| 24.8 | 100 |
| 32.7 | 65 |
| 33.6 | 45 |
| 36.2 | 96 |
| 40.5 | 58 |
| 43.3 | 74 |

Atomic structure:
Unit cell a=8.883 b=8.883 c=8.883 alpha=108.36 beta=82.32 gamma=144.94
Atoms (fractional coordinates):
Li  0.184  0.597  0.781
Li  0.250  0.250  0.000
Li  0.316  0.097  0.413
Li  0.684  0.903  0.587
Li  0.750  0.750  0.000
Li  0.816  0.403  0.219
Ag  0.177  0.306  0.483
Ag  0.250  0.011  0.761
Ag  0.250  0.489  0.239
Ag  0.250  0.750  0.500
Ag  0.323  0.806  0.130
Ag  0.677  0.194  0.870
Ag  0.750  0.250  0.500
Ag  0.750  0.511  0.761
Ag  0.750  0.989  0.239
Ag  0.823  0.694  0.517
Ge  0.153  0.907  0.060
Ge  0.347  0.407  0.755
Ge  0.653  0.593  0.245
Ge  0.847  0.093  0.940

***

Simulated X-ray diffraction stick pattern
Compound: Tb5PmMg3
Radiation: CuKα
Structure: a structure optimized by DFT (GGA-PBE)
Neutral-atom scattering factors, no anomalous dispersion.

The 8 most intense peaks (5° ≤ 2θ ≤ 70°), low angle first:
| two_theta | I/Imax |
| --- | --- |
| 8.3 | 39 |
| 22.8 | 36 |
| 25.1 | 34 |
| 27.2 | 100 |
| 29.3 | 27 |
| 29.8 | 46 |
| 32.0 | 29 |
| 33.8 | 71 |

Atomic structure:
Unit cell a=7.873 b=7.873 c=10.750 alpha=96.69 beta=96.69 gamma=63.93
Atoms (fractional coordinates):
Tb  0.021  0.021  0.652
Tb  0.158  0.545  0.262
Tb  0.173  0.827  0.000
Tb  0.251  0.251  0.965
Tb  0.455  0.842  0.738
Tb  0.545  0.158  0.262
Tb  0.749  0.749  0.035
Tb  0.827  0.173  0.000
Tb  0.842  0.455  0.738
Tb  0.979  0.979  0.348
Pm  0.388  0.388  0.732
Pm  0.612  0.612  0.268
Mg  0.155  0.155  0.207
Mg  0.214  0.214  0.487
Mg  0.500  0.500  0.000
Mg  0.500  0.500  0.500
Mg  0.786  0.786  0.513
Mg  0.845  0.845  0.793

***

Simulated X-ray diffraction stick pattern
Compound: DyTm3Pd3
Radiation: CuKα
Structure: a structure optimized by DFT (GGA-PBE)
Neutral-atom scattering factors, no anomalous dispersion.

The 8 most intense peaks (5° ≤ 2θ ≤ 70°), low angle first:
| two_theta | I/Imax |
| --- | --- |
| 18.2 | 15 |
| 25.8 | 29 |
| 36.8 | 100 |
| 36.9 | 99 |
| 45.5 | 7 |
| 53.1 | 35 |
| 66.3 | 53 |
| 66.6 | 18 |

Atomic structure:
Unit cell a=5.985 b=5.985 c=5.985 alpha=109.57 beta=109.57 gamma=109.57
Atoms (fractional coordinates):
Dy  0.000  0.000  0.000
Tm  0.000  0.500  0.500
Tm  0.500  0.000  0.500
Tm  0.500  0.500  0.000
Pd  0.000  0.000  0.500
Pd  0.000  0.500  0.000
Pd  0.500  0.000  0.000

***

What is the formula in the seventh record? DyTm3Pd3

***

What did the first record say?
Simulated X-ray diffraction stick pattern
Compound: Pm5Pr2Y3
Radiation: CuKα
Structure: a structure optimized by DFT (GGA-PBE)
Neutral-atom scattering factors, no anomalous dispersion.

The 8 most intense peaks (5° ≤ 2θ ≤ 70°), low angle first:
| two_theta | I/Imax |
| --- | --- |
| 29.5 | 86 |
| 29.8 | 86 |
| 30.1 | 99 |
| 30.2 | 100 |
| 31.8 | 32 |
| 32.5 | 86 |
| 48.6 | 36 |
| 56.5 | 30 |

Atomic structure:
Unit cell a=9.542 b=9.542 c=9.772 alpha=108.74 beta=108.74 gamma=109.49
Atoms (fractional coordinates):
Pm  0.032  0.968  0.750
Pm  0.114  0.354  0.724
Pm  0.232  0.768  0.750
Pm  0.272  0.728  0.250
Pm  0.354  0.114  0.224
Pm  0.646  0.886  0.776
Pm  0.728  0.272  0.750
Pm  0.768  0.232  0.250
Pm  0.886  0.646  0.276
Pm  0.968  0.032  0.250
Pr  0.228  0.478  0.445
Pr  0.478  0.228  0.945
Pr  0.522  0.772  0.055
Pr  0.772  0.522  0.555
Y  0.034  0.278  0.046
Y  0.278  0.034  0.546
Y  0.480  0.520  0.250
Y  0.520  0.480  0.750
Y  0.722  0.966  0.454
Y  0.966  0.722  0.954